(1)
Theoretical X-ray diffraction stick pattern
Compound: Hf2TeO
Radiation: Cu Kα (weighted mean of Kα1 and Kα2)
Structure: a cell relaxed with PBE
No peak broadening, texture or thermal motion is included.

Main lines, low angle first (2θ from 15° to 90°):
Position (°2θ)	Rel. int.
27.6	100
27.9	49
36.2	20
37.6	79
41.5	17
43.6	24
45.2	32
52.0	17
62.2	16
66.1	15

Crystal structure
```
data_Hf2TeO
_chemical_formula_sum 'Hf4 Te2 O2'
_space_group_name_H-M_alt 'P 1'
_space_group_IT_number 1
_cell_length_a 7.072
_cell_length_b 7.072
_cell_length_c 7.072
_cell_angle_alpha 134.56
_cell_angle_beta 134.56
_cell_angle_gamma 66.21
loop_
_space_group_symop_operation_xyz
'x,y,z'
loop_
_atom_site_label
_atom_site_type_symbol
_atom_site_fract_x
_atom_site_fract_y
_atom_site_fract_z
Hf1 Hf 0.375 0.248 0.373
Hf2 Hf 0.752 0.125 0.127
Hf3 Hf 0.875 0.002 0.627
Hf4 Hf 0.998 0.625 0.873
Te1 Te 0.250 0.750 0.500
Te2 Te 0.500 0.500 0.000
O1 O 0.000 0.000 0.000
O2 O 0.750 0.250 0.500
```

=====

(2)
Theoretical X-ray diffraction stick pattern
Compound: Dy3InRu
Radiation: Cu Kα (weighted mean of Kα1 and Kα2)
Structure: a cell relaxed with PBE
No peak broadening, texture or thermal motion is included.

Main lines, low angle first (2θ from 15° to 90°):
Position (°2θ)	Rel. int.
28.8	48
31.5	84
32.2	79
34.9	100
35.2	74
35.3	43
38.3	41
40.0	36
53.4	27
57.4	44

Crystal structure
```
data_Dy3InRu
_chemical_formula_sum 'Dy6 In2 Ru2'
_space_group_name_H-M_alt 'P 1'
_space_group_IT_number 1
_cell_length_a 9.415
_cell_length_b 8.734
_cell_length_c 5.826
_cell_angle_alpha 77.75
_cell_angle_beta 65.04
_cell_angle_gamma 37.21
loop_
_space_group_symop_operation_xyz
'x,y,z'
loop_
_atom_site_label
_atom_site_type_symbol
_atom_site_fract_x
_atom_site_fract_y
_atom_site_fract_z
Dy1 Dy 0.198 0.579 0.421
Dy2 Dy 0.200 0.200 0.800
Dy3 Dy 0.421 0.802 0.198
Dy4 Dy 0.579 0.198 0.802
Dy5 Dy 0.800 0.800 0.200
Dy6 Dy 0.802 0.421 0.579
In1 In 0.210 0.790 0.790
In2 In 0.790 0.210 0.210
Ru1 Ru 0.250 0.250 0.250
Ru2 Ru 0.750 0.750 0.750
```

=====

(3)
Theoretical X-ray diffraction stick pattern
Compound: HfAgMo
Radiation: Cu Kα (weighted mean of Kα1 and Kα2)
Structure: a cell relaxed with PBE
No peak broadening, texture or thermal motion is included.

Main lines, low angle first (2θ from 15° to 90°):
Position (°2θ)	Rel. int.
18.2	4
28.3	9
38.2	52
38.7	100
55.1	18
56.6	8
69.3	35
70.3	16
81.6	6
82.9	11

Crystal structure
```
data_HfAgMo
_chemical_formula_sum 'Hf2 Ag2 Mo2'
_space_group_name_H-M_alt 'P 1'
_space_group_IT_number 1
_cell_length_a 3.336
_cell_length_b 3.336
_cell_length_c 9.760
_cell_angle_alpha 90.00
_cell_angle_beta 90.00
_cell_angle_gamma 90.00
loop_
_space_group_symop_operation_xyz
'x,y,z'
loop_
_atom_site_label
_atom_site_type_symbol
_atom_site_fract_x
_atom_site_fract_y
_atom_site_fract_z
Hf1 Hf 0.250 0.250 0.246
Hf2 Hf 0.750 0.750 0.754
Ag1 Ag 0.250 0.250 0.580
Ag2 Ag 0.750 0.750 0.420
Mo1 Mo 0.250 0.250 0.923
Mo2 Mo 0.750 0.750 0.077
```

=====

(4)
Theoretical X-ray diffraction stick pattern
Compound: SeIF3
Radiation: Cu Kα (weighted mean of Kα1 and Kα2)
Structure: a cell relaxed with PBE
No peak broadening, texture or thermal motion is included.

Main lines, low angle first (2θ from 15° to 90°):
Position (°2θ)	Rel. int.
19.0	41
20.2	24
22.5	15
23.0	54
25.3	100
32.4	31
34.9	20
37.0	18
41.9	16
42.2	30

Crystal structure
```
data_SeIF3
_chemical_formula_sum 'Se2 I2 F6'
_space_group_name_H-M_alt 'P 1'
_space_group_IT_number 1
_cell_length_a 7.724
_cell_length_b 5.337
_cell_length_c 5.864
_cell_angle_alpha 90.00
_cell_angle_beta 90.00
_cell_angle_gamma 90.00
loop_
_space_group_symop_operation_xyz
'x,y,z'
loop_
_atom_site_label
_atom_site_type_symbol
_atom_site_fract_x
_atom_site_fract_y
_atom_site_fract_z
Se1 Se 0.000 0.006 0.000
Se2 Se 0.500 0.994 0.500
I1 I 0.000 0.385 0.699
I2 I 0.500 0.615 0.199
F1 F 0.000 0.784 0.242
F2 F 0.176 0.150 0.141
F3 F 0.324 0.850 0.641
F4 F 0.500 0.216 0.742
F5 F 0.676 0.850 0.641
F6 F 0.824 0.150 0.141
```

=====

(5)
Theoretical X-ray diffraction stick pattern
Compound: YbTi2Al20
Radiation: Cu Kα (weighted mean of Kα1 and Kα2)
Structure: a cell relaxed with PBE
No peak broadening, texture or thermal motion is included.

Main lines, low angle first (2θ from 15° to 90°):
Position (°2θ)	Rel. int.
17.1	64
20.1	90
29.8	28
34.6	45
36.2	100
38.8	70
40.3	85
40.8	54
53.0	42
73.0	37

Crystal structure
```
data_YbTi2Al20
_chemical_formula_sum 'Yb2 Ti4 Al40'
_space_group_name_H-M_alt 'P 1'
_space_group_IT_number 1
_cell_length_a 10.374
_cell_length_b 10.374
_cell_length_c 10.374
_cell_angle_alpha 60.00
_cell_angle_beta 60.00
_cell_angle_gamma 60.00
loop_
_space_group_symop_operation_xyz
'x,y,z'
loop_
_atom_site_label
_atom_site_type_symbol
_atom_site_fract_x
_atom_site_fract_y
_atom_site_fract_z
Yb1 Yb 0.125 0.125 0.125
Yb2 Yb 0.875 0.875 0.875
Ti1 Ti 0.000 0.500 0.500
Ti2 Ti 0.500 0.000 0.500
Ti3 Ti 0.500 0.500 0.000
Ti4 Ti 0.500 0.500 0.500
Al1 Al 0.000 0.000 0.000
Al2 Al 0.000 0.000 0.500
Al3 Al 0.000 0.500 0.000
Al4 Al 0.057 0.324 0.324
Al5 Al 0.057 0.324 0.795
Al6 Al 0.057 0.795 0.324
Al7 Al 0.205 0.676 0.676
Al8 Al 0.205 0.676 0.943
Al9 Al 0.205 0.943 0.676
Al10 Al 0.236 0.236 0.514
Al11 Al 0.236 0.514 0.236
Al12 Al 0.236 0.514 0.514
Al13 Al 0.324 0.057 0.324
Al14 Al 0.324 0.057 0.795
Al15 Al 0.324 0.324 0.057
Al16 Al 0.324 0.324 0.795
Al17 Al 0.324 0.795 0.057
Al18 Al 0.324 0.795 0.324
Al19 Al 0.486 0.486 0.764
Al20 Al 0.486 0.764 0.486
Al21 Al 0.486 0.764 0.764
Al22 Al 0.500 0.000 0.000
Al23 Al 0.514 0.236 0.236
Al24 Al 0.514 0.236 0.514
Al25 Al 0.514 0.514 0.236
Al26 Al 0.676 0.205 0.676
Al27 Al 0.676 0.205 0.943
Al28 Al 0.676 0.676 0.205
Al29 Al 0.676 0.676 0.943
Al30 Al 0.676 0.943 0.205
Al31 Al 0.676 0.943 0.676
Al32 Al 0.764 0.486 0.486
Al33 Al 0.764 0.486 0.764
Al34 Al 0.764 0.764 0.486
Al35 Al 0.795 0.057 0.324
Al36 Al 0.795 0.324 0.057
Al37 Al 0.795 0.324 0.324
Al38 Al 0.943 0.205 0.676
Al39 Al 0.943 0.676 0.205
Al40 Al 0.943 0.676 0.676
```

=====

(6)
Theoretical X-ray diffraction stick pattern
Compound: LiHg6Pd2
Radiation: Cu Kα (weighted mean of Kα1 and Kα2)
Structure: a cell relaxed with PBE
No peak broadening, texture or thermal motion is included.

Main lines, low angle first (2θ from 15° to 90°):
Position (°2θ)	Rel. int.
28.1	14
29.7	20
36.0	100
41.2	19
41.4	18
42.7	12
59.0	11
59.8	13
71.7	14
72.0	14

Crystal structure
```
data_LiHg6Pd2
_chemical_formula_sum 'Li1 Hg6 Pd2'
_space_group_name_H-M_alt 'P 1'
_space_group_IT_number 1
_cell_length_a 9.119
_cell_length_b 6.901
_cell_length_c 6.718
_cell_angle_alpha 84.05
_cell_angle_beta 48.83
_cell_angle_gamma 47.12
loop_
_space_group_symop_operation_xyz
'x,y,z'
loop_
_atom_site_label
_atom_site_type_symbol
_atom_site_fract_x
_atom_site_fract_y
_atom_site_fract_z
Li1 Li 0.000 0.000 0.000
Hg1 Hg 0.016 0.315 0.685
Hg2 Hg 0.315 0.016 0.984
Hg3 Hg 0.348 0.652 0.348
Hg4 Hg 0.652 0.348 0.652
Hg5 Hg 0.685 0.984 0.016
Hg6 Hg 0.984 0.685 0.315
Pd1 Pd 0.336 0.336 0.664
Pd2 Pd 0.664 0.664 0.336
```

=====

(7)
Theoretical X-ray diffraction stick pattern
Compound: BaSmNi10
Radiation: Cu Kα (weighted mean of Kα1 and Kα2)
Structure: a cell relaxed with PBE
No peak broadening, texture or thermal motion is included.

Main lines, low angle first (2θ from 15° to 90°):
Position (°2θ)	Rel. int.
30.4	44
35.4	20
41.0	12
41.2	23
42.4	100
45.9	25
59.3	13
63.3	19
68.4	15
82.5	13

Crystal structure
```
data_BaSmNi10
_chemical_formula_sum 'Ba1 Sm1 Ni10'
_space_group_name_H-M_alt 'P 1'
_space_group_IT_number 1
_cell_length_a 3.952
_cell_length_b 5.059
_cell_length_c 8.796
_cell_angle_alpha 90.00
_cell_angle_beta 90.00
_cell_angle_gamma 90.00
loop_
_space_group_symop_operation_xyz
'x,y,z'
loop_
_atom_site_label
_atom_site_type_symbol
_atom_site_fract_x
_atom_site_fract_y
_atom_site_fract_z
Ba1 Ba 0.000 0.000 0.000
Sm1 Sm 0.000 0.500 0.500
Ni1 Ni 0.000 0.000 0.343
Ni2 Ni 0.000 0.000 0.657
Ni3 Ni 0.000 0.500 0.179
Ni4 Ni 0.000 0.500 0.821
Ni5 Ni 0.500 0.000 0.500
Ni6 Ni 0.500 0.257 0.263
Ni7 Ni 0.500 0.257 0.737
Ni8 Ni 0.500 0.500 0.000
Ni9 Ni 0.500 0.743 0.263
Ni10 Ni 0.500 0.743 0.737
```